For Li2Sn4Br9, a PBE-relaxed structure gives the computed powder diffractogram in this record (λ = 1.5418 Å (Cu Kα)).
Neutral-atom scattering factors, no anomalous dispersion.

Cell and atoms:
Cell lengths 7.441, 7.443, 20.431 Å; angles 86.91, 86.93, 63.62 degrees
Space group P-1 (No. 2)
Asymmetric unit:
Li  0.037  0.399  0.175 [2 per cell]
Li  0.055  0.589  0.672 [2 per cell]
Sn  0.334  0.770  0.189 [2 per cell]
Sn  0.334  0.833  0.990 [2 per cell]
Sn  0.340  0.926  0.652 [2 per cell]
Sn  0.406  0.821  0.491 [2 per cell]
Br  0.012  0.708  0.244 [2 per cell]
Br  0.048  0.871  0.587 [2 per cell]
Br  0.053  0.102  0.090 [2 per cell]
Br  0.208  0.310  0.586 [2 per cell]
Br  0.270  0.134  0.260 [2 per cell]
Br  0.303  0.577  0.760 [2 per cell]
Br  0.312  0.503  0.083 [2 per cell]
Br  0.358  0.189  0.926 [2 per cell]
Br  0.383  0.488  0.422 [2 per cell]

Most intense lines, 2θ from 15° to 90°, in order of rising 2θ:
hkl 1 0 2, 2θ = 15.6°, d = 5.664 Å, intensity 85
hkl 1 2 -2, 2θ = 26.0°, d = 3.425 Å, intensity 30
hkl -1 1 3, 2θ = 26.2°, d = 3.397 Å, intensity 77
hkl 2 1 3, 2θ = 26.7°, d = 3.333 Å, intensity 100
hkl 2 1 -3, 2θ = 28.0°, d = 3.181 Å, intensity 62
hkl 2 0 4, 2θ = 31.6°, d = 2.831 Å, intensity 35
hkl 1 2 6, 2θ = 34.8°, d = 2.578 Å, intensity 59
hkl -1 1 6, 2θ = 34.9°, d = 2.570 Å, intensity 45
hkl 1 -1 6, 2θ = 34.9°, d = 2.568 Å, intensity 30
hkl 3 0 0, 2θ = 40.6°, d = 2.221 Å, intensity 43

For CuRh5S8, a PBE-relaxed structure gives the computed powder diffractogram in this record (λ = 1.5418 Å (Cu Kα)).
Neutral-atom scattering factors, no anomalous dispersion.

Cell and atoms:
Cell lengths 9.887, 9.887, 9.887 Å; angles 90.00, 90.00, 90.00 degrees
Space group F-43m (No. 216)
Asymmetric unit:
Cu  0.000  0.000  0.000 [4 per cell]
Rh  0.126  0.126  0.374 [16 per cell]
Rh  0.250  0.250  0.750 [4 per cell]
S  0.116  0.116  0.616 [16 per cell]
S  0.134  0.134  0.134 [16 per cell]

Most intense lines, 2θ from 15° to 90°, in order of rising 2θ:
hkl 1 1 1, 2θ = 15.5°, d = 5.708 Å, intensity 20
hkl 2 2 0, 2θ = 25.5°, d = 3.496 Å, intensity 23
hkl 3 1 1, 2θ = 30.0°, d = 2.981 Å, intensity 100
hkl 4 0 0, 2θ = 36.3°, d = 2.472 Å, intensity 35
hkl 5 1 1, 2θ = 47.8°, d = 1.903 Å, intensity 43
hkl 4 4 0, 2θ = 52.3°, d = 1.748 Å, intensity 65
hkl 5 3 3, 2θ = 61.5°, d = 1.508 Å, intensity 12
hkl 5 5 3, 2θ = 73.6°, d = 1.287 Å, intensity 20
hkl 8 0 0, 2θ = 77.2°, d = 1.236 Å, intensity 10
hkl 5 5 5, 2θ = 84.9°, d = 1.142 Å, intensity 13

What did the first record say?
For Li2Sn4Br9, a PBE-relaxed structure gives the computed powder diffractogram in this record (λ = 1.5418 Å (Cu Kα)).
Neutral-atom scattering factors, no anomalous dispersion.

Cell and atoms:
Cell lengths 7.441, 7.443, 20.431 Å; angles 86.91, 86.93, 63.62 degrees
Space group P-1 (No. 2)
Asymmetric unit:
Li  0.037  0.399  0.175 [2 per cell]
Li  0.055  0.589  0.672 [2 per cell]
Sn  0.334  0.770  0.189 [2 per cell]
Sn  0.334  0.833  0.990 [2 per cell]
Sn  0.340  0.926  0.652 [2 per cell]
Sn  0.406  0.821  0.491 [2 per cell]
Br  0.012  0.708  0.244 [2 per cell]
Br  0.048  0.871  0.587 [2 per cell]
Br  0.053  0.102  0.090 [2 per cell]
Br  0.208  0.310  0.586 [2 per cell]
Br  0.270  0.134  0.260 [2 per cell]
Br  0.303  0.577  0.760 [2 per cell]
Br  0.312  0.503  0.083 [2 per cell]
Br  0.358  0.189  0.926 [2 per cell]
Br  0.383  0.488  0.422 [2 per cell]

Most intense lines, 2θ from 15° to 90°, in order of rising 2θ:
hkl 1 0 2, 2θ = 15.6°, d = 5.664 Å, intensity 85
hkl 1 2 -2, 2θ = 26.0°, d = 3.425 Å, intensity 30
hkl -1 1 3, 2θ = 26.2°, d = 3.397 Å, intensity 77
hkl 2 1 3, 2θ = 26.7°, d = 3.333 Å, intensity 100
hkl 2 1 -3, 2θ = 28.0°, d = 3.181 Å, intensity 62
hkl 2 0 4, 2θ = 31.6°, d = 2.831 Å, intensity 35
hkl 1 2 6, 2θ = 34.8°, d = 2.578 Å, intensity 59
hkl -1 1 6, 2θ = 34.9°, d = 2.570 Å, intensity 45
hkl 1 -1 6, 2θ = 34.9°, d = 2.568 Å, intensity 30
hkl 3 0 0, 2θ = 40.6°, d = 2.221 Å, intensity 43